Entry 1:
Simulated powder X-ray diffraction pattern
Compound: Ac3Ge4Pd
Radiation: Cu Kα, 1.54184 Å
Structure: a structure optimized by DFT (PBE)
Peak positions follow from Bragg's law for the DFT cell and can differ from measured ones.

Principal peaks in the range 2θ = 10–90°, by intensity:
| 2θ/deg | intensity | index |
| --- | --- | --- |
| 26.1 | 100 | 1 1 2 |
| 34.1 | 38 | 1 0 5 |
| 22.4 | 35 | 0 1 3 |
| 37.1 | 27 | 2 0 0 |
| 35.3 | 24 | 1 2 1 |
| 60.4 | 20 | 3 1 2 |
| 37.4 | 19 | 0 2 4 |
| 50.1 | 19 | 1 3 2 |
| 52.6 | 17 | 1 1 8 |
| 39.0 | 16 | 1 2 3 |

Atomic structure:
```
data_Ac3Ge4Pd
_symmetry_space_group_name_H-M 'I m m m'
_symmetry_Int_Tables_number 71
_symmetry_space_group_name_Hall '-I 2 2'
_cell_length_a 4.8505
_cell_length_b 6.0879
_cell_length_c 15.6514
_cell_angle_alpha 90.00
_cell_angle_beta 90.00
_cell_angle_gamma 90.00
loop_
_atom_site_label
_atom_site_fract_x
_atom_site_fract_y
_atom_site_fract_z
Ac1 0.0000 0.0000 0.0000
Ac2 0.0000 0.5000 0.1922
Ge1 0.0000 0.2872 0.3823
Pd1 0.0000 0.0000 0.5000
```

=====

Entry 2:
Simulated powder X-ray diffraction pattern
Compound: Ac4Ge2Pd
Radiation: Cu Kα, 1.54184 Å
Structure: a structure optimized by DFT (PBE)
Peak positions follow from Bragg's law for the DFT cell and can differ from measured ones.

Principal peaks in the range 2θ = 10–90°, by intensity:
| 2θ/deg | intensity | index |
| --- | --- | --- |
| 28.4 | 100 | 1 0 3 |
| 29.6 | 95 | 1 3 0 |
| 29.4 | 82 | 3 0 1 |
| 34.7 | 55 | 1 3 2 |
| 34.2 | 53 | 1 2 3 |
| 25.8 | 51 | 0 2 2 |
| 35.0 | 50 | 2 3 1 |
| 48.5 | 46 | 4 3 1 |
| 47.8 | 37 | 4 1 3 |
| 46.2 | 32 | 4 2 2 |

Atomic structure:
```
data_Ac4Ge2Pd
_symmetry_space_group_name_H-M 'I 21 21 21'
_symmetry_Int_Tables_number 24
_cell_length_a 9.5564
_cell_length_b 9.5592
_cell_length_c 9.9745
_cell_angle_alpha 90.00
_cell_angle_beta 90.00
_cell_angle_gamma 90.00
loop_
_symmetry_equiv_pos_as_xyz
'x,y,z'
'-x,-y+1/2,z'
'x,-y,-z+1/2'
'-x,y+1/2,-z+1/2'
'x+1/2,y+1/2,z+1/2'
'-x+1/2,-y,z+1/2'
'x+1/2,-y+1/2,-z'
'-x+1/2,y,-z'
loop_
_atom_site_label
_atom_site_fract_x
_atom_site_fract_y
_atom_site_fract_z
Ac1 0.0659 0.0587 0.0617
Ac2 0.1912 0.3160 0.6885
Ge1 0.1139 0.0000 0.7500
Ge2 0.2500 0.3636 0.0000
Pd1 0.0000 0.2500 0.3744
```